Calculated X-ray diffraction stick pattern
Compound: RbCoBr3
Radiation: copper Kα
Structure: DFT lattice parameters and positions (PBE)
Lines closer than 0.1° are merged.

Structural model:
```
data_RbCoBr3
_cell_length_a 13.0701
_cell_length_b 13.0701
_cell_length_c 6.2096
_cell_angle_alpha 90.00
_cell_angle_beta 90.00
_cell_angle_gamma 120.00
_space_group_name_H-M_alt 'P -3 c 1'
_space_group_IT_number 165
_space_group_name_Hall '-P 3 2"c'
loop_
_atom_site_label
_atom_site_fract_x
_atom_site_fract_y
_atom_site_fract_z
_atom_site_occupancy
Rb1 0.0000 0.3321 0.2500 1
Co1 0.0000 0.0000 0.0000 1
Co2 0.3333 0.6667 0.0308 1
Br1 0.0000 0.1571 0.7500 1
Br2 0.1759 0.5093 0.7819 1
```

The 10 most intense peaks (2θ from 15° to 90°), sorted by position:
- 2θ = 27.29°, I = 9, hkl 2 2 0
- 2θ = 28.75°, I = 17, hkl 0 0 2
- 2θ = 30.92°, I = 100, hkl 2 2 1
- 2θ = 40.06°, I = 29, hkl 2 2 2
- 2θ = 48.24°, I = 26, hkl 6 0 0
- 2θ = 52.32°, I = 19, hkl 2 2 3
- 2θ = 57.13°, I = 13, hkl 6 0 2
- 2θ = 58.41°, I = 15, hkl 4 4 1
- 2θ = 79.05°, I = 12, hkl 8 2 1
- 2θ = 80.05°, I = 8, hkl 6 0 4